1.
This entry pairs a crystal structure of Li2MnFeB2O6 with its calculated powder XRD pattern. Radiation: copper Kα. Structure: a structure optimized by DFT (PBE+U).

```
24
Lattice="2.622 -4.524 0.000 2.622 4.524 0.000 -0.299 0.000 10.445" Properties=species:S:1:pos:R:3 pbc="T T T"
Li 2.472 4.477 5.222
Li 1.616 0.116 2.635
Li 1.466 -0.116 7.858
Li 2.622 -4.477 0.000
Mn 2.316 1.513 10.112
Mn 2.465 -1.513 4.890
Fe 4.077 1.419 7.483
Fe 4.227 -1.419 2.260
B 2.448 1.531 4.801
B 4.269 1.545 2.200
B 2.299 -1.531 10.023
B 4.119 -1.545 7.423
O 2.282 4.117 7.270
O 1.912 2.784 4.474
O 2.078 1.781 7.836
O 1.668 0.399 4.646
O 1.518 -0.399 9.868
O 2.905 1.484 1.901
O 3.760 1.430 5.260
O 2.228 -1.781 2.614
O 1.763 -2.784 9.696
O 2.755 -1.484 7.123
O 3.910 -1.430 0.037
O 2.431 -4.117 2.047
```

Largest 10 diffraction maxima, sorted by position, 2θ = 10–90°:
2θ (°), d_spacing, intensity
19.60, 4.528, 66
21.41, 4.151, 39
21.55, 4.123, 63
25.69, 3.467, 47
26.34, 3.383, 30
34.28, 2.616, 87
34.34, 2.611, 100
40.50, 2.227, 46
40.82, 2.211, 22
48.44, 1.879, 41

2.
This entry pairs a crystal structure of Li2MnFeB2O6 with its calculated powder XRD pattern. Radiation: copper Kα. Structure: a structure optimized by DFT (PBE+U).

```
36
Lattice="8.222 0.000 0.000 -4.111 7.120 0.000 0.000 0.000 6.339" Properties=species:S:1:pos:R:3 pbc="T T T"
Li -1.085 2.139 1.566
Li -1.085 2.139 4.773
Li -1.716 6.991 1.566
Li -1.716 6.991 4.773
Li 2.801 5.111 1.566
Li 2.801 5.111 4.773
Mn 1.576 2.550 3.170
Mn 5.225 0.090 3.170
Mn 5.531 4.480 3.170
Fe 1.570 2.578 0.000
Fe 5.204 0.070 0.000
Fe 5.559 4.472 0.000
B 0.000 0.000 0.000
B 0.000 0.000 3.170
B 0.000 4.747 1.547
B 0.000 4.747 4.792
B 4.111 2.373 1.562
B 4.111 2.373 4.777
O -0.175 1.384 3.170
O -0.093 1.395 0.000
O -2.857 6.503 0.000
O -2.825 6.580 3.170
O -1.244 4.128 1.558
O -1.244 4.128 4.781
O 1.158 3.979 1.558
O 1.158 3.979 4.781
O 0.086 6.133 1.558
O 0.086 6.133 4.781
O 2.850 1.784 1.569
O 2.850 1.784 4.771
O 5.252 1.576 1.569
O 5.252 1.576 4.771
O 4.231 3.760 1.569
O 4.231 3.760 4.771
O 2.949 6.343 0.000
O 3.000 6.276 3.170
```

Largest 10 diffraction maxima, sorted by position, 2θ = 10–90°:
2θ (°), d_spacing, intensity
21.62, 4.111, 100
30.88, 2.896, 17
33.29, 2.691, 18
35.77, 2.510, 81
37.91, 2.373, 32
44.10, 2.054, 26
47.88, 1.900, 28
53.11, 1.725, 25
54.77, 1.676, 19
59.52, 1.553, 13

3.
This entry pairs a crystal structure of Li8Mn7FeB8O24 with its calculated powder XRD pattern. Radiation: copper Kα. Structure: a structure optimized by DFT (PBE+U).

```
48
Lattice="5.259 0.000 0.000 0.029 9.113 0.000 2.437 4.244 10.511" Properties=species:S:1:pos:R:3 pbc="T T T"
Li 0.000 0.000 0.000
Li 0.729 1.430 2.629
Li 2.619 4.350 5.256
Li 3.488 5.700 7.883
Li 2.643 4.558 0.001
Li 3.380 5.983 2.624
Li 5.270 8.902 5.257
Li 6.132 10.260 7.885
Mn 2.478 7.241 10.146
Mn 0.802 7.461 2.278
Mn 2.589 10.444 4.891
Mn 3.442 8.775 7.523
Mn 5.123 11.800 10.146
Mn 3.423 2.916 2.262
Mn 6.047 4.226 7.496
Fe 5.171 5.895 4.888
B 2.505 10.260 10.069
B 0.825 4.457 2.195
B 2.565 7.393 4.828
B 3.458 11.849 7.441
B 5.120 5.703 10.069
B 3.467 9.014 2.190
B 5.169 2.865 4.805
B 6.072 7.293 7.429
O 1.204 7.508 4.518
O 2.132 7.140 7.865
O 3.082 11.450 10.511
O 2.695 10.714 7.124
O 3.319 9.160 9.748
O 2.864 3.990 7.289
O 3.749 5.597 9.915
O 2.195 4.599 2.041
O 2.680 10.085 2.618
O 3.297 8.500 5.248
O 3.184 6.158 4.677
O 2.862 7.788 1.876
O 3.807 3.007 4.492
O 4.779 11.701 7.870
O 5.697 6.895 10.511
O 5.306 6.164 7.104
O 5.934 4.605 9.747
O 5.512 8.552 7.287
O 6.392 10.152 9.918
O 4.838 9.150 2.042
O 5.296 5.525 2.628
O 5.791 10.733 4.668
O 5.906 3.973 5.228
O 5.482 3.231 1.871
```

Largest 10 diffraction maxima, sorted by position, 2θ = 10–90°:
2θ (°), d_spacing, intensity
19.50, 4.551, 35
21.28, 4.174, 20
21.49, 4.134, 31
25.47, 3.496, 24
26.28, 3.391, 15
34.11, 2.628, 100
40.24, 2.241, 25
40.59, 2.223, 12
48.25, 1.886, 15
61.00, 1.519, 11

4.
This entry pairs a crystal structure of Li4Mn3FeB4O12 with its calculated powder XRD pattern. Radiation: copper Kα. Structure: a structure optimized by DFT (PBE+U).

```
48
Lattice="5.246 0.000 0.000 -2.608 4.555 0.000 -0.364 -0.476 20.965" Properties=species:S:1:pos:R:3 pbc="T T T"
Li 0.000 0.000 0.000
Li -0.183 -0.236 10.504
Li 1.415 2.862 13.121
Li 1.592 3.116 2.631
Li 1.582 2.949 7.875
Li 1.413 2.727 18.349
Li 4.937 0.006 5.257
Li 4.769 -0.245 15.747
Mn -0.227 2.828 10.145
Mn -0.418 2.604 20.608
Mn 1.521 -0.080 7.519
Mn 2.377 1.492 4.894
Mn 4.045 1.314 12.787
Mn 4.242 1.554 2.270
Fe 1.380 -0.320 17.957
Fe 2.168 1.229 15.408
B -0.390 2.766 15.316
B -0.214 3.038 4.811
B 1.442 -0.221 12.694
B 1.633 0.018 2.189
B 2.208 1.108 20.510
B 2.400 1.350 10.056
B 4.127 1.442 7.433
B 3.951 1.225 17.897
O -2.538 4.235 12.536
O -2.347 4.472 2.032
O -1.039 1.564 15.029
O -0.820 1.812 4.498
O -0.377 2.536 7.878
O -0.583 2.362 18.301
O -0.998 4.110 5.246
O -1.134 3.885 15.699
O -0.357 3.227 12.378
O -0.167 3.470 1.867
O 1.449 -0.026 20.194
O 1.639 0.213 9.743
O 2.021 0.966 13.138
O 2.212 1.207 2.634
O 0.995 2.855 15.183
O 1.156 3.172 4.654
O 1.638 2.366 20.362
O 1.834 2.607 9.900
O 2.577 1.336 17.609
O 2.767 1.596 7.117
O 3.529 0.971 20.949
O 3.717 1.205 10.494
O 4.720 0.201 7.275
O 4.589 0.010 17.756
```

Largest 10 diffraction maxima, sorted by position, 2θ = 10–90°:
2θ (°), d_spacing, intensity
19.54, 4.544, 51
21.33, 4.166, 29
21.47, 4.139, 46
26.24, 3.396, 22
34.13, 2.627, 42
34.21, 2.621, 100
40.34, 2.236, 17
40.35, 2.235, 17
40.67, 2.218, 18
48.22, 1.887, 22

Repeat the second record exactly.
This entry pairs a crystal structure of Li2MnFeB2O6 with its calculated powder XRD pattern. Radiation: copper Kα. Structure: a structure optimized by DFT (PBE+U).

```
36
Lattice="8.222 0.000 0.000 -4.111 7.120 0.000 0.000 0.000 6.339" Properties=species:S:1:pos:R:3 pbc="T T T"
Li -1.085 2.139 1.566
Li -1.085 2.139 4.773
Li -1.716 6.991 1.566
Li -1.716 6.991 4.773
Li 2.801 5.111 1.566
Li 2.801 5.111 4.773
Mn 1.576 2.550 3.170
Mn 5.225 0.090 3.170
Mn 5.531 4.480 3.170
Fe 1.570 2.578 0.000
Fe 5.204 0.070 0.000
Fe 5.559 4.472 0.000
B 0.000 0.000 0.000
B 0.000 0.000 3.170
B 0.000 4.747 1.547
B 0.000 4.747 4.792
B 4.111 2.373 1.562
B 4.111 2.373 4.777
O -0.175 1.384 3.170
O -0.093 1.395 0.000
O -2.857 6.503 0.000
O -2.825 6.580 3.170
O -1.244 4.128 1.558
O -1.244 4.128 4.781
O 1.158 3.979 1.558
O 1.158 3.979 4.781
O 0.086 6.133 1.558
O 0.086 6.133 4.781
O 2.850 1.784 1.569
O 2.850 1.784 4.771
O 5.252 1.576 1.569
O 5.252 1.576 4.771
O 4.231 3.760 1.569
O 4.231 3.760 4.771
O 2.949 6.343 0.000
O 3.000 6.276 3.170
```

Largest 10 diffraction maxima, sorted by position, 2θ = 10–90°:
2θ (°), d_spacing, intensity
21.62, 4.111, 100
30.88, 2.896, 17
33.29, 2.691, 18
35.77, 2.510, 81
37.91, 2.373, 32
44.10, 2.054, 26
47.88, 1.900, 28
53.11, 1.725, 25
54.77, 1.676, 19
59.52, 1.553, 13

> Which formula does entry 2 have?

Li2MnFeB2O6